Starting from DFT lattice parameters and positions (GGA-PBE), the powder diffraction line list of EuHg3 was calculated for Cu Kα (weighted mean of Kα1 and Kα2).
Intensities are scaled so that the largest is 100.

Crystal structure
```
EuHg3
1.0
6.8788 0.0000 0.0000
-3.4394 5.9572 0.0000
0.0000 0.0000 5.2985
Eu Hg
2 6
direct
0.3333 0.6667 0.2500
0.6667 0.3333 0.7500
0.1620 0.3240 0.7500
0.1620 0.8380 0.7500
0.3240 0.1620 0.2500
0.6760 0.8380 0.7500
0.8380 0.1620 0.2500
0.8380 0.6760 0.2500
```

Main lines, in order of falling intensity (2θ from 10° to 90°):
2θ (°)  d/Å  I_rel
34.5  2.596  100
30.0  2.979  24
33.8  2.649  24
64.6  1.442  22
61.0  1.519  20
53.3  1.720  19
65.1  1.434  16
45.8  1.980  15

Starting from DFT lattice parameters and positions (GGA-PBE), the powder diffraction line list of CeMg14Mn was calculated for Cu Kα (weighted mean of Kα1 and Kα2).
Intensities are scaled so that the largest is 100.

Crystal structure
```
CeMg14Mn
1.0
6.5295 0.0000 0.0000
-3.2648 5.6547 0.0000
0.0000 0.0000 10.3142
Ce Mg Mn
1 14 1
direct
0.0000 0.0000 0.0000
0.0137 0.5069 0.0000
0.1652 0.3304 0.2608
0.1652 0.3304 0.7392
0.1652 0.8348 0.2608
0.1652 0.8348 0.7392
0.4931 0.5069 0.0000
0.4931 0.9863 0.0000
0.5010 0.0020 0.5000
0.5010 0.4990 0.5000
0.6667 0.3333 0.2419
0.6667 0.3333 0.7581
0.6696 0.8348 0.2608
0.6696 0.8348 0.7392
0.9980 0.4990 0.5000
0.0000 0.0000 0.5000
```

Main lines, in order of falling intensity (2θ from 10° to 90°):
2θ (°)  d/Å  I_rel
36.2  2.479  100
15.7  5.655  35
31.6  2.827  29
23.3  3.810  27
34.8  2.579  24
68.0  1.379  19
63.3  1.469  18
47.7  1.905  17

Starting from DFT lattice parameters and positions (GGA-PBE), the powder diffraction line list of MgZr3 was calculated for Cu Kα (weighted mean of Kα1 and Kα2).
Intensities are scaled so that the largest is 100.

Crystal structure
```
MgZr3
1.0
7.0943 0.0000 0.0000
0.0000 7.0943 0.0000
0.0000 0.0000 7.0943
Mg Zr
4 12
direct
0.0000 0.0000 0.0000
0.0000 0.5000 0.5000
0.5000 0.0000 0.5000
0.5000 0.5000 0.0000
0.0000 0.0000 0.5000
0.0000 0.5000 0.0000
0.2500 0.2500 0.2500
0.2500 0.2500 0.7500
0.2500 0.7500 0.2500
0.2500 0.7500 0.7500
0.5000 0.0000 0.0000
0.5000 0.5000 0.5000
0.7500 0.2500 0.2500
0.7500 0.2500 0.7500
0.7500 0.7500 0.2500
0.7500 0.7500 0.7500
```

Main lines, in order of falling intensity (2θ from 10° to 90°):
2θ (°)  d/Å  I_rel
35.8  2.508  100
64.3  1.448  34
51.5  1.774  17
86.8  1.122  15
21.7  4.096  12
75.9  1.254  10
25.1  3.547  6
42.3  2.139  6

Starting from DFT lattice parameters and positions (GGA-PBE), the powder diffraction line list of LiCeCu2P2 was calculated for Cu Kα (weighted mean of Kα1 and Kα2).
Intensities are scaled so that the largest is 100.

Crystal structure
```
LiCeCu2P2
1.0
4.0139 0.0000 0.0000
-2.0070 3.4761 0.0000
0.0000 0.0000 6.7393
Li Ce Cu P
1 1 2 2
direct
0.0000 0.0000 0.0000
0.0000 0.0000 0.5000
0.3333 0.6667 0.8394
0.6667 0.3333 0.1606
0.3333 0.6667 0.2312
0.6667 0.3333 0.7688
```

Main lines, in order of falling intensity (2θ from 10° to 90°):
2θ (°)  d/Å  I_rel
28.9  3.089  100
37.2  2.419  79
45.2  2.007  52
62.0  1.497  28
59.9  1.545  19
40.1  2.246  18
54.5  1.683  18
78.1  1.224  17

Starting from DFT lattice parameters and positions (GGA-PBE), the powder diffraction line list of MgBi2O4 was calculated for Cu Kα (weighted mean of Kα1 and Kα2).
Intensities are scaled so that the largest is 100.

Crystal structure
```
MgBi2O4
1.0
3.3933 0.0000 0.0000
0.0000 11.1634 0.0000
0.0000 0.0000 11.3118
Mg Bi O
4 8 16
direct
0.0227 0.1428 0.2500
0.0227 0.3572 0.7500
0.9773 0.6428 0.2500
0.9773 0.8572 0.7500
0.3111 0.6181 0.5795
0.3111 0.6181 0.9205
0.3111 0.8819 0.0795
0.3111 0.8819 0.4205
0.6889 0.1181 0.5795
0.6889 0.1181 0.9205
0.6889 0.3819 0.0795
0.6889 0.3819 0.4205
0.1652 0.2500 0.0000
0.1652 0.2500 0.5000
0.1694 0.5266 0.1194
0.1694 0.5266 0.3806
0.1694 0.9734 0.6194
0.1694 0.9734 0.8806
0.4341 0.7421 0.7500
0.4341 0.7579 0.2500
0.5659 0.2421 0.7500
0.5659 0.2579 0.2500
0.8306 0.0266 0.1194
0.8306 0.0266 0.3806
0.8306 0.4734 0.6194
0.8306 0.4734 0.8806
0.8348 0.7500 0.0000
0.8348 0.7500 0.5000
```

Main lines, in order of falling intensity (2θ from 10° to 90°):
2θ (°)  d/Å  I_rel
28.6  3.124  100
17.7  5.005  40
35.8  2.506  38
15.7  5.656  38
27.5  3.247  34
36.5  2.460  34
32.1  2.791  24
43.3  2.088  20

Starting from DFT lattice parameters and positions (GGA-PBE), the powder diffraction line list of Mg6ZnNi was calculated for Cu Kα (weighted mean of Kα1 and Kα2).
Intensities are scaled so that the largest is 100.

Crystal structure
```
Mg6ZnNi
1.0
4.8323 0.0000 0.0000
0.0000 6.0570 0.0000
0.0000 0.0000 10.4503
Mg Zn Ni
12 2 2
direct
0.0000 0.0000 0.0000
0.0000 0.2363 0.2580
0.0000 0.2637 0.7580
0.0000 0.5000 0.5000
0.0000 0.7363 0.7580
0.0000 0.7637 0.2580
0.5000 0.0000 0.8317
0.5000 0.2436 0.5775
0.5000 0.2564 0.0775
0.5000 0.5000 0.3317
0.5000 0.7436 0.0775
0.5000 0.7564 0.5775
0.0000 0.0000 0.4952
0.0000 0.5000 0.9952
0.5000 0.0000 0.3312
0.5000 0.5000 0.8312
```

Main lines, in order of falling intensity (2θ from 10° to 90°):
2θ (°)  d/Å  I_rel
39.1  2.302  100
16.9  5.238  32
37.2  2.416  26
68.4  1.372  18
34.2  2.620  15
51.5  1.775  15
25.1  3.549  13
74.0  1.280  12

Starting from DFT lattice parameters and positions (GGA-PBE), the powder diffraction line list of Mn5Si3 was calculated for Cu Kα (weighted mean of Kα1 and Kα2).
Intensities are scaled so that the largest is 100.

Crystal structure
```
Mn5Si3
1.0
6.8946 0.0000 0.0000
-3.4473 5.9709 0.0000
0.0000 0.0000 4.7890
Mn Si
10 6
direct
0.0000 0.2449 0.2500
0.0000 0.7551 0.7500
0.2449 0.0000 0.2500
0.2449 0.2449 0.7500
0.3333 0.6667 0.0000
0.3333 0.6667 0.5000
0.6667 0.3333 0.0000
0.6667 0.3333 0.5000
0.7551 0.0000 0.7500
0.7551 0.7551 0.2500
0.0000 0.3977 0.7500
0.0000 0.6023 0.2500
0.3977 0.0000 0.7500
0.3977 0.3977 0.2500
0.6023 0.0000 0.2500
0.6023 0.6023 0.7500
```

Main lines, in order of falling intensity (2θ from 10° to 90°):
2θ (°)  d/Å  I_rel
44.4  2.041  100
46.2  1.967  78
39.9  2.257  43
45.6  1.990  42
72.5  1.303  32
40.6  2.222  28
66.9  1.399  18
75.0  1.267  16

Starting from DFT lattice parameters and positions (GGA-PBE), the powder diffraction line list of SrCaHfNbO6 was calculated for Cu Kα (weighted mean of Kα1 and Kα2).
Intensities are scaled so that the largest is 100.

Crystal structure
```
SrCaHfNbO6
1.0
0.0000 4.0973 4.0973
4.0973 0.0000 4.0973
4.0973 4.0973 0.0000
Sr Ca Hf Nb O
1 1 1 1 6
direct
0.0000 0.0000 0.0000
0.5000 0.5000 0.5000
0.2500 0.2500 0.2500
0.7500 0.7500 0.7500
0.5016 0.5016 0.9984
0.5016 0.9984 0.5016
0.5016 0.9984 0.9984
0.9984 0.5016 0.5016
0.9984 0.5016 0.9984
0.9984 0.9984 0.5016
```

Main lines, in order of falling intensity (2θ from 10° to 90°):
2θ (°)  d/Å  I_rel
30.9  2.897  100
54.9  1.673  40
44.2  2.049  33
21.7  4.097  28
89.5  1.095  21
64.3  1.449  20
73.0  1.296  17
18.8  4.731  13

Starting from DFT lattice parameters and positions (GGA-PBE), the powder diffraction line list of Ti3AlSe2ClO8 was calculated for Cu Kα (weighted mean of Kα1 and Kα2).
Intensities are scaled so that the largest is 100.

Crystal structure
```
Ti3AlSe2ClO8
1.0
7.5781 0.0000 0.0000
0.0548 8.2878 0.0000
1.3498 0.1100 8.9410
Ti Al Se Cl O
6 2 4 2 16
direct
0.0000 0.0000 0.0000
0.0790 0.0818 0.4951
0.3205 0.8150 0.2368
0.4599 0.1066 0.5176
0.6356 0.0004 0.9972
0.8211 0.2703 0.7196
0.2168 0.1432 0.1860
0.7070 0.9271 0.6778
0.2180 0.6434 0.9131
0.3612 0.7160 0.5872
0.7047 0.4447 0.3987
0.8918 0.3618 0.0666
0.2282 0.2146 0.6826
0.6456 0.8176 0.2008
0.0643 0.8051 0.9074
0.0725 0.2224 0.3423
0.0979 0.2163 0.0324
0.1221 0.9405 0.1748
0.3086 0.6731 0.0803
0.3089 0.6777 0.3978
0.3151 0.0053 0.3854
0.4369 0.1094 0.0941
0.5386 0.8727 0.5583
0.5483 0.2817 0.4069
0.6092 0.8553 0.8552
0.6340 0.1368 0.6634
0.8010 0.4176 0.5638
0.8446 0.0883 0.8633
0.8737 0.4069 0.8749
0.9152 0.9271 0.5630
```

Main lines, in order of falling intensity (2θ from 10° to 90°):
2θ (°)  d/Å  I_rel
15.9  5.559  100
24.6  3.625  88
10.7  8.287  45
29.2  3.055  41
16.5  5.363  34
35.2  2.551  32
17.7  5.004  30
19.7  4.504  29

Starting from DFT lattice parameters and positions (GGA-PBE), the powder diffraction line list of AlPS4 was calculated for Cu Kα (weighted mean of Kα1 and Kα2).
Intensities are scaled so that the largest is 100.

Crystal structure
```
AlPS4
1.0
5.7586 0.0000 0.0000
0.0000 5.7586 0.0000
0.0000 0.0000 9.6713
Al P S
2 2 8
direct
0.0000 0.0000 0.2500
0.0000 0.0000 0.7500
0.0000 0.5000 0.2500
0.5000 0.0000 0.7500
0.1968 0.2765 0.1296
0.1968 0.7235 0.3704
0.2765 0.1968 0.6296
0.2765 0.8032 0.8704
0.7235 0.1968 0.8704
0.7235 0.8032 0.6296
0.8032 0.2765 0.3704
0.8032 0.7235 0.1296
```

Main lines, in order of falling intensity (2θ from 10° to 90°):
2θ (°)  d/Å  I_rel
28.7  3.115  100
17.9  4.948  69
49.2  1.852  36
15.4  5.759  23
18.3  4.836  23
44.5  2.036  21
45.1  2.012  15
53.8  1.704  15